Record 1
This entry pairs a crystal structure of Ca2ZnBi2 with its calculated X-ray diffraction stick pattern. Radiation: CuKα. Structure: a GGA-PBE-relaxed structure.

Peak list (10 most intense, 2θ from 15° to 90°, in order of rising 2θ)
| two_theta | d [Å] | I_rel |
| --- | --- | --- |
| 21.80 | 4.078 | 18 |
| 22.42 | 3.966 | 30 |
| 24.55 | 3.626 | 100 |
| 31.47 | 2.843 | 56 |
| 38.20 | 2.356 | 37 |
| 38.30 | 2.350 | 18 |
| 40.67 | 2.218 | 32 |
| 44.75 | 2.025 | 25 |
| 45.93 | 1.976 | 12 |
| 61.15 | 1.516 | 11 |

Structural model:
Cell lengths 9.3999, 8.1682, 7.9328 Å; angles 90.00, 90.12, 90.00 degrees
Atoms (fractional coordinates):
1 Ca 0.0978 0.2417 0.0028
2 Ca 0.0978 0.2583 0.5028
3 Ca 0.3607 0.7182 0.5071
4 Ca 0.3607 0.7818 0.0071
5 Ca 0.6393 0.2182 0.9929
6 Ca 0.6393 0.2818 0.4929
7 Ca 0.9022 0.7417 0.4972
8 Ca 0.9022 0.7583 0.9972
9 Zn 0.3824 0.0818 0.6759
10 Zn 0.3824 0.4182 0.1759
11 Zn 0.6176 0.5818 0.8241
12 Zn 0.6176 0.9182 0.3241
13 Bi 0.1299 0.5719 0.2444
14 Bi 0.1299 0.9281 0.7444
15 Bi 0.3608 0.0903 0.2778
16 Bi 0.3608 0.4097 0.7778
17 Bi 0.6392 0.5903 0.2222
18 Bi 0.6392 0.9097 0.7222
19 Bi 0.8701 0.0719 0.2556
20 Bi 0.8701 0.4281 0.7556

---

Record 2
This entry pairs a crystal structure of Cd3Bi2 with its calculated X-ray diffraction stick pattern. Radiation: CuKα. Structure: a GGA-PBE-relaxed structure.

Peak list (10 most intense, 2θ from 15° to 90°, in order of rising 2θ)
| two_theta | d [Å] | I_rel |
| --- | --- | --- |
| 21.48 | 4.138 | 22 |
| 27.98 | 3.189 | 58 |
| 28.32 | 3.152 | 36 |
| 32.00 | 2.797 | 45 |
| 32.15 | 2.784 | 74 |
| 32.45 | 2.759 | 100 |
| 36.51 | 2.461 | 30 |
| 38.35 | 2.347 | 48 |
| 38.80 | 2.321 | 36 |
| 64.95 | 1.436 | 26 |

Structural model:
Cell lengths 7.5685, 7.4035, 9.8824 Å; angles 90.00, 90.00, 90.00 degrees
Atoms (fractional coordinates):
1 Cd 0.0000 0.1420 0.2500
2 Cd 0.0000 0.8580 0.7500
3 Cd 0.1322 0.4950 0.6339
4 Cd 0.1322 0.5050 0.1339
5 Cd 0.3678 0.0050 0.1339
6 Cd 0.3678 0.9950 0.6339
7 Cd 0.5000 0.3580 0.7500
8 Cd 0.5000 0.6420 0.2500
9 Cd 0.6322 0.0050 0.3661
10 Cd 0.6322 0.9950 0.8661
11 Cd 0.8678 0.4950 0.8661
12 Cd 0.8678 0.5050 0.3661
13 Bi 0.1684 0.1895 0.9013
14 Bi 0.1684 0.8105 0.4013
15 Bi 0.3316 0.3105 0.4013
16 Bi 0.3316 0.6895 0.9013
17 Bi 0.6684 0.3105 0.0987
18 Bi 0.6684 0.6895 0.5987
19 Bi 0.8316 0.1895 0.5987
20 Bi 0.8316 0.8105 0.0987

---

Record 3
This entry pairs a crystal structure of Cd13Bi2 with its calculated X-ray diffraction stick pattern. Radiation: CuKα. Structure: a GGA-PBE-relaxed structure.

Peak list (10 most intense, 2θ from 15° to 90°, in order of rising 2θ)
| two_theta | d [Å] | I_rel |
| --- | --- | --- |
| 21.39 | 4.154 | 23 |
| 25.08 | 3.551 | 25 |
| 29.65 | 3.013 | 28 |
| 31.00 | 2.885 | 27 |
| 33.19 | 2.699 | 38 |
| 34.86 | 2.574 | 45 |
| 36.85 | 2.439 | 100 |
| 38.91 | 2.315 | 38 |
| 39.52 | 2.280 | 55 |
| 57.09 | 1.613 | 26 |

Structural model:
Cell lengths 8.7759, 8.7759, 8.7759 Å; angles 56.51, 56.51, 56.51 degrees
Atoms (fractional coordinates):
1 Cd 0.0000 0.0000 0.0000
2 Cd 0.0187 0.0187 0.6444
3 Cd 0.0187 0.6444 0.0187
4 Cd 0.2534 0.2534 0.6086
5 Cd 0.2534 0.6086 0.2534
6 Cd 0.3556 0.9813 0.9813
7 Cd 0.3914 0.7466 0.7466
8 Cd 0.6086 0.2534 0.2534
9 Cd 0.6444 0.0187 0.0187
10 Cd 0.7466 0.3914 0.7466
11 Cd 0.7466 0.7466 0.3914
12 Cd 0.9813 0.3556 0.9813
13 Cd 0.9813 0.9813 0.3556
14 Bi 0.2301 0.2301 0.2301
15 Bi 0.7699 0.7699 0.7699

---

Please write out number 2 again, unchanged.
This entry pairs a crystal structure of Cd3Bi2 with its calculated X-ray diffraction stick pattern. Radiation: CuKα. Structure: a GGA-PBE-relaxed structure.

Peak list (10 most intense, 2θ from 15° to 90°, in order of rising 2θ)
| two_theta | d [Å] | I_rel |
| --- | --- | --- |
| 21.48 | 4.138 | 22 |
| 27.98 | 3.189 | 58 |
| 28.32 | 3.152 | 36 |
| 32.00 | 2.797 | 45 |
| 32.15 | 2.784 | 74 |
| 32.45 | 2.759 | 100 |
| 36.51 | 2.461 | 30 |
| 38.35 | 2.347 | 48 |
| 38.80 | 2.321 | 36 |
| 64.95 | 1.436 | 26 |

Structural model:
Cell lengths 7.5685, 7.4035, 9.8824 Å; angles 90.00, 90.00, 90.00 degrees
Atoms (fractional coordinates):
1 Cd 0.0000 0.1420 0.2500
2 Cd 0.0000 0.8580 0.7500
3 Cd 0.1322 0.4950 0.6339
4 Cd 0.1322 0.5050 0.1339
5 Cd 0.3678 0.0050 0.1339
6 Cd 0.3678 0.9950 0.6339
7 Cd 0.5000 0.3580 0.7500
8 Cd 0.5000 0.6420 0.2500
9 Cd 0.6322 0.0050 0.3661
10 Cd 0.6322 0.9950 0.8661
11 Cd 0.8678 0.4950 0.8661
12 Cd 0.8678 0.5050 0.3661
13 Bi 0.1684 0.1895 0.9013
14 Bi 0.1684 0.8105 0.4013
15 Bi 0.3316 0.3105 0.4013
16 Bi 0.3316 0.6895 0.9013
17 Bi 0.6684 0.3105 0.0987
18 Bi 0.6684 0.6895 0.5987
19 Bi 0.8316 0.1895 0.5987
20 Bi 0.8316 0.8105 0.0987